Structure and simulated PXRD pattern of TmCuSi2Rh (DFT lattice parameters and positions (PBE); Cu Ka).
Kinematic intensities with the Lorentz-polarization factor, no thermal factor.

Top 6 peaks for 5° ≤ 2θ ≤ 70°, in order of rising 2θ:
d 3.721, 23.92°, rel. 40
d 2.552, 35.17°, rel. 39
d 2.479, 36.23°, rel. 17
d 2.463, 36.48°, rel. 100
d 2.007, 45.18°, rel. 36
d 1.577, 58.51°, rel. 18

Crystal structure
a = 5.7134 Å, b = 5.7134 Å, c = 5.7134 Å
α = 138.87°, β = 138.87°, γ = 59.57°
Element x y z (fractional)
1 Tm 0.0000 0.0000 0.0000
2 Cu 0.2500 0.7500 0.5000
3 Si 0.3821 0.3821 0.0000
4 Si 0.6179 0.6179 0.0000
5 Rh 0.7500 0.2500 0.5000